This entry pairs a crystal structure of La7Sm2Y3 with its theoretical powder diffractogram. Radiation: λ = 1.5418 Å (Cu Kα). Structure: a GGA-PBE-relaxed structure.
Neutral-atom scattering factors, no anomalous dispersion.

Structural model:
Cell: 6.581 3.603 17.889 Å, 90.00 95.53 90.00°
Space group P2/m (No. 10)
Asymmetric unit:
La (0.000, 0.000, 0.000)
La (0.226, 0.500, 0.172)
La (0.262, 0.500, 0.492)
La (0.277, 0.000, 0.833)
Sm (0.057, 0.500, 0.669)
Y (0.457, 0.000, 0.338)
Y (0.500, 0.500, 0.000)

Top 10 peaks for 10° ≤ 2θ ≤ 80°, sorted by position:
hkl 1 1 1, 28.95°, I 583
hkl 2 0 -3, 29.86°, I 862
hkl 0 0 6, 30.11°, I 1000
hkl 1 1 2, 30.48°, I 1000
hkl 2 0 3, 32.47°, I 714
hkl 1 1 -4, 34.04°, I 892
hkl 3 1 -1, 48.60°, I 406
hkl 3 1 -7, 58.89°, I 283
hkl 2 2 -3, 59.92°, I 282
hkl 0 2 6, 60.07°, I 301